Theoretical powder XRD pattern
Compound: Ca4Cu3Pt
Radiation: a wavelength of 1.5418 Å
Structure: a PBE-relaxed structure
Peak positions follow from Bragg's law for the DFT cell and can differ from measured ones.

Most intense lines, 10 to 80 degrees two-theta, in order of rising 2θ:
hkl 0 0 2, 16.5 deg, I = 69; hkl 1 0 1, 23.1 deg, I = 67; hkl 1 1 1, 31.2 deg, I = 90; hkl 1 0 3, 33.1 deg, I = 37; hkl 1 1 3, 39.4 deg, I = 100; hkl 0 1 4, 39.6 deg, I = 52; hkl 0 2 0, 42.1 deg, I = 35; hkl 2 0 0, 43.8 deg, I = 29; hkl 2 1 4, 60.5 deg, I = 28; hkl 2 2 0, 62.4 deg, I = 21

Cell and atoms:
Unit cell a=4.1317 b=4.2928 c=10.7431 alpha=90.00 beta=90.00 gamma=90.00
Space group Pmm2 (No. 25)
Asymmetric unit:
Ca 0.0000 0.0000 0.0000
Ca 0.0000 0.5000 0.2749
Ca 0.5000 0.0000 0.4858
Ca 0.5000 0.5000 0.7767
Cu 0.0000 0.0000 0.6930
Cu 0.0000 0.5000 0.5756
Cu 0.5000 0.5000 0.0683
Pt 0.5000 0.0000 0.2039